[1]
Starting from the PBE geometry in Alexandria, the PXRD pattern of Tm3ScIn12 was calculated for copper Kα.
Kinematic intensities with the Lorentz-polarization factor, no thermal factor.

Main lines, in order of rising 2θ (5 to 70 degrees two-theta):
d = 9.236 Å, 9.6°, I = 1.3; d = 4.452 Å, 19.9°, I = 1.3; d = 2.872 Å, 31.1°, I = 1.4; d = 2.654 Å, 33.8°, I = 100.0; d = 2.309 Å, 39.0°, I = 16.6; d = 2.294 Å, 39.3°, I = 33.0; d = 1.627 Å, 56.6°, I = 21.9; d = 1.622 Å, 56.8°, I = 11.3; d = 1.391 Å, 67.3°, I = 12.6; d = 1.384 Å, 67.7°, I = 25.5

Cell and atoms:
```
Tm3ScIn12
1.0
4.588 0.000 0.000
0.000 4.588 0.000
0.000 0.000 18.472
Tm Sc In
3 1 12
direct
0.000 0.000 0.000 Tm
0.000 0.000 0.253 Tm
0.000 0.000 0.747 Tm
0.000 0.000 0.500 Sc
0.000 0.500 0.126 In
0.000 0.500 0.379 In
0.000 0.500 0.621 In
0.000 0.500 0.874 In
0.500 0.000 0.126 In
0.500 0.000 0.379 In
0.500 0.000 0.621 In
0.500 0.000 0.874 In
0.500 0.500 0.000 In
0.500 0.500 0.252 In
0.500 0.500 0.500 In
0.500 0.500 0.748 In
```


[2]
Starting from the PBE geometry in Alexandria, the PXRD pattern of Tm3Sc6In was calculated for copper Kα.
Kinematic intensities with the Lorentz-polarization factor, no thermal factor.

Main lines, in order of rising 2θ (5 to 70 degrees two-theta):
d = 4.782 Å, 18.6°, I = 58.6; d = 2.990 Å, 29.9°, I = 20.7; d = 2.909 Å, 30.7°, I = 57.5; d = 2.827 Å, 31.7°, I = 20.1; d = 2.643 Å, 33.9°, I = 100.0; d = 2.489 Å, 36.1°, I = 38.2; d = 2.391 Å, 37.6°, I = 19.9; d = 1.868 Å, 48.8°, I = 17.0; d = 1.727 Å, 53.0°, I = 16.0; d = 1.446 Å, 64.5°, I = 17.1

Cell and atoms:
```
Tm3Sc6In
1.0
5.183 -8.967 0.000
5.183 8.967 0.000
0.000 0.000 5.653
Tm Sc In
6 12 2
direct
0.109 0.891 0.500 Tm
0.232 0.440 0.072 Tm
0.440 0.232 0.572 Tm
0.560 0.768 0.072 Tm
0.768 0.560 0.572 Tm
0.891 0.109 0.000 Tm
0.019 0.452 0.704 Sc
0.110 0.212 0.525 Sc
0.212 0.110 0.025 Sc
0.229 0.771 0.912 Sc
0.449 0.551 0.584 Sc
0.452 0.019 0.204 Sc
0.548 0.981 0.704 Sc
0.551 0.449 0.084 Sc
0.771 0.229 0.412 Sc
0.788 0.890 0.525 Sc
0.890 0.788 0.025 Sc
0.981 0.548 0.204 Sc
0.291 0.709 0.430 In
0.709 0.291 0.930 In
```


[3]
Starting from the PBE geometry in Alexandria, the PXRD pattern of Tm12Sc5In2 was calculated for copper Kα.
Kinematic intensities with the Lorentz-polarization factor, no thermal factor.

Main lines, in order of rising 2θ (5 to 70 degrees two-theta):
d = 3.698 Å, 24.1°, I = 39.4; d = 2.793 Å, 32.0°, I = 95.2; d = 2.758 Å, 32.5°, I = 100.0; d = 2.715 Å, 33.0°, I = 49.6; d = 2.685 Å, 33.4°, I = 51.1; d = 2.663 Å, 33.7°, I = 68.9; d = 2.548 Å, 35.2°, I = 56.1; d = 2.436 Å, 36.9°, I = 62.4; d = 2.342 Å, 38.4°, I = 35.1; d = 1.583 Å, 58.3°, I = 33.5

Cell and atoms:
```
Tm12Sc5In2
1.0
7.396 -4.492 0.000
7.396 4.492 0.000
-0.087 0.000 8.091
Tm Sc In
12 5 2
direct
0.055 0.055 0.326 Tm
0.075 0.675 0.345 Tm
0.161 0.533 0.761 Tm
0.325 0.925 0.655 Tm
0.409 0.409 0.115 Tm
0.467 0.839 0.239 Tm
0.533 0.161 0.761 Tm
0.591 0.591 0.885 Tm
0.675 0.075 0.345 Tm
0.839 0.467 0.239 Tm
0.925 0.325 0.655 Tm
0.945 0.945 0.674 Tm
0.188 0.188 0.006 Sc
0.264 0.264 0.420 Sc
0.500 0.500 0.500 Sc
0.736 0.736 0.580 Sc
0.812 0.812 0.994 Sc
0.179 0.821 0.000 In
0.821 0.179 0.000 In
```


[4]
Starting from the PBE geometry in Alexandria, the PXRD pattern of Y5Sc4In4 was calculated for copper Kα.
Kinematic intensities with the Lorentz-polarization factor, no thermal factor.

Main lines, in order of rising 2θ (5 to 70 degrees two-theta):
d = 3.599 Å, 24.7°, I = 24.9; d = 3.097 Å, 28.8°, I = 20.3; d = 2.760 Å, 32.4°, I = 100.0; d = 2.719 Å, 32.9°, I = 31.9; d = 2.513 Å, 35.7°, I = 54.8; d = 2.401 Å, 37.5°, I = 32.2; d = 2.385 Å, 37.7°, I = 11.5; d = 2.085 Å, 43.4°, I = 11.7; d = 1.800 Å, 50.7°, I = 18.3; d = 1.446 Å, 64.4°, I = 12.6

Cell and atoms:
```
Y5Sc4In4
1.0
-6.080 6.080 2.401
6.080 -6.080 2.401
6.080 6.080 -2.401
Y Sc In
5 4 4
direct
0.000 0.000 0.000 Y
0.307 0.611 0.917 Y
0.389 0.307 0.696 Y
0.611 0.693 0.304 Y
0.693 0.389 0.083 Y
0.098 0.416 0.514 Sc
0.416 0.902 0.318 Sc
0.584 0.098 0.682 Sc
0.902 0.584 0.486 Sc
0.082 0.754 0.836 In
0.246 0.082 0.329 In
0.754 0.918 0.671 In
0.918 0.246 0.164 In
```